# Ac3Pr8Y
Theoretical X-ray diffraction stick pattern, Cu Ka. Input: a crystal structure in Alexandria, relaxed with GGA-PBE.
Kinematic intensities with the Lorentz-polarization factor, no thermal factor.

Structure:
```
data_Ac3Pr8Y
_chemical_formula_sum 'Ac6 Pr16 Y2'
_cell_length_a 6.7357
_cell_length_b 9.5741
_cell_length_c 14.6324
_cell_angle_alpha 90.00
_cell_angle_beta 90.00
_cell_angle_gamma 90.00
_space_group_name_H-M_alt 'I 2 2 2'
_space_group_IT_number 23
loop_
_space_group_symop_operation_xyz
'x,y,z'
'-x,-y,z'
'x,-y,-z'
'-x,y,-z'
'x+1/2,y+1/2,z+1/2'
'-x+1/2,-y+1/2,z+1/2'
'x+1/2,-y+1/2,-z+1/2'
'-x+1/2,y+1/2,-z+1/2'
loop_
_atom_site_label
_atom_site_type_symbol
_atom_site_fract_x
_atom_site_fract_y
_atom_site_fract_z
Ac1 Ac 0.0000 0.0000 0.0000
Ac2 Ac 0.0000 0.5000 0.3698
Pr1 Pr 0.1268 0.3412 0.1024
Pr2 Pr 0.1383 0.1479 0.2922
Y1 Y 0.0000 0.0000 0.5000
```

Most intense lines, 10° ≤ 2θ ≤ 90°, low angle first:
2θ 22.51, I 17; 2θ 28.63, I 29; 2θ 28.75, I 39; 2θ 29.31, I 100; 2θ 32.51, I 12; 2θ 33.39, I 23; 2θ 33.56, I 11; 2θ 34.80, I 22; 2θ 40.45, I 13; 2θ 48.52, I 11; 2θ 51.13, I 12; 2θ 56.04, I 16

=====

# Ho3UO8
Theoretical X-ray diffraction stick pattern, Cu Ka. Input: a crystal structure in Alexandria, relaxed with GGA-PBE.
Kinematic intensities with the Lorentz-polarization factor, no thermal factor.

Structure:
```
data_Ho3UO8
_chemical_formula_sum 'Ho3 U1 O8'
_cell_length_a 5.3382
_cell_length_b 5.3382
_cell_length_c 5.3382
_cell_angle_alpha 90.00
_cell_angle_beta 90.00
_cell_angle_gamma 90.00
_space_group_name_H-M_alt 'P m -3 m'
_space_group_IT_number 221
_space_group_name_Hall '-P 4 2 3'
loop_
_atom_site_label
_atom_site_type_symbol
_atom_site_fract_x
_atom_site_fract_y
_atom_site_fract_z
Ho1 Ho 0.0000 0.0000 0.5000
U1 U 0.5000 0.5000 0.5000
O1 O 0.2592 0.2592 0.2592
```

Most intense lines, 10° ≤ 2θ ≤ 90°, low angle first:
2θ 16.61, I 3; 2θ 23.57, I 2; 2θ 28.97, I 100; 2θ 33.58, I 34; 2θ 37.68, I 1; 2θ 41.43, I 1; 2θ 48.22, I 51; 2θ 57.24, I 45; 2θ 60.04, I 10; 2θ 70.57, I 8; 2θ 78.03, I 19; 2θ 80.46, I 13

=====

# ScTl2
Theoretical X-ray diffraction stick pattern, Cu Ka. Input: a crystal structure in Alexandria, relaxed with GGA-PBE.
Kinematic intensities with the Lorentz-polarization factor, no thermal factor.

Structure:
```
data_ScTl2
_chemical_formula_sum 'Sc4 Tl8'
_cell_length_a 4.7412
_cell_length_b 15.7115
_cell_length_c 4.0941
_cell_angle_alpha 90.00
_cell_angle_beta 90.00
_cell_angle_gamma 90.00
_space_group_name_H-M_alt 'C m c m'
_space_group_IT_number 63
_space_group_name_Hall '-C 2c 2'
loop_
_atom_site_label
_atom_site_type_symbol
_atom_site_fract_x
_atom_site_fract_y
_atom_site_fract_z
Sc1 Sc 0.0000 0.0842 0.2500
Tl1 Tl 0.0000 0.2583 0.7500
Tl2 Tl 0.0000 0.4257 0.2500
```

Most intense lines, 10° ≤ 2θ ≤ 90°, low angle first:
2θ 19.56, I 21; 2θ 31.57, I 11; 2θ 33.61, I 100; 2θ 34.24, I 23; 2θ 37.96, I 18; 2θ 44.25, I 12; 2θ 50.18, I 11; 2θ 52.04, I 14; 2θ 57.11, I 11; 2θ 60.91, I 15; 2θ 65.80, I 14; 2θ 70.64, I 11

=====

# CsGe12Au7
Theoretical X-ray diffraction stick pattern, Cu Ka. Input: a crystal structure in Alexandria, relaxed with GGA-PBE.
Kinematic intensities with the Lorentz-polarization factor, no thermal factor.

Structure:
```
data_CsGe12Au7
_chemical_formula_sum 'Cs1 Ge12 Au7'
_cell_length_a 6.9863
_cell_length_b 8.8864
_cell_length_c 8.9439
_cell_angle_alpha 113.54
_cell_angle_beta 105.29
_cell_angle_gamma 104.60
_space_group_name_H-M_alt 'P 1'
_space_group_IT_number 1
loop_
_space_group_symop_operation_xyz
'x,y,z'
loop_
_atom_site_label
_atom_site_type_symbol
_atom_site_fract_x
_atom_site_fract_y
_atom_site_fract_z
Cs1 Cs 0.0000 0.0000 0.0000
Ge1 Ge 0.1699 0.3641 0.5051
Ge2 Ge 0.1824 0.8252 0.3484
Ge3 Ge 0.1982 0.7004 0.6925
Ge4 Ge 0.3515 0.5431 0.1862
Ge5 Ge 0.4859 0.9613 0.6706
Ge6 Ge 0.4950 0.3097 0.9986
Ge7 Ge 0.5094 0.0093 0.3058
Ge8 Ge 0.5222 0.7173 0.0418
Ge9 Ge 0.6530 0.4906 0.8461
Ge10 Ge 0.8148 0.3352 0.2796
Ge11 Ge 0.8175 0.1494 0.6403
Ge12 Ge 0.8233 0.6540 0.4669
Au1 Au 0.0992 0.4834 0.8179
Au2 Au 0.2738 0.1814 0.6550
Au3 Au 0.4875 0.6276 0.5414
Au4 Au 0.4971 0.0052 0.9987
Au5 Au 0.6398 0.3522 0.5264
Au6 Au 0.8591 0.9127 0.3700
Au7 Au 0.9394 0.4623 0.0776
```

Most intense lines, 10° ≤ 2θ ≤ 90°, low angle first:
2θ 11.86, I 57; 2θ 22.14, I 63; 2θ 23.85, I 82; 2θ 31.35, I 63; 2θ 31.53, I 62; 2θ 31.62, I 100; 2θ 31.75, I 95; 2θ 32.73, I 74; 2θ 35.78, I 88; 2θ 36.12, I 55; 2θ 43.70, I 87; 2θ 43.82, I 61

=====

# Cs2TbCdF6
Theoretical X-ray diffraction stick pattern, Cu Ka. Input: a crystal structure in Alexandria, relaxed with GGA-PBE.
Kinematic intensities with the Lorentz-polarization factor, no thermal factor.

Structure:
```
data_Cs2TbCdF6
_chemical_formula_sum 'Cs4 Tb2 Cd2 F12'
_cell_length_a 6.7728
_cell_length_b 9.5741
_cell_length_c 6.7733
_cell_angle_alpha 90.00
_cell_angle_beta 90.00
_cell_angle_gamma 90.00
_space_group_name_H-M_alt 'P m m n'
_space_group_IT_number 59
loop_
_space_group_symop_operation_xyz
'x,y,z'
'-x,-y,-z'
'-x+1/2,-y+1/2,z'
'x+1/2,y+1/2,-z'
'x+1/2,-y,-z'
'-x+1/2,y,z'
'-x,y+1/2,-z'
'x,-y+1/2,z'
loop_
_atom_site_label
_atom_site_type_symbol
_atom_site_fract_x
_atom_site_fract_y
_atom_site_fract_z
Cs1 Cs 0.2500 0.0001 0.2493
Tb1 Tb 0.2500 0.2500 0.7471
Cd1 Cd 0.2500 0.7500 0.7507
F1 F 0.0199 0.2500 0.5168
F2 F 0.0201 0.2500 0.9771
F3 F 0.2500 0.0198 0.7458
```

Most intense lines, 10° ≤ 2θ ≤ 90°, low angle first:
2θ 16.03, I 3; 2θ 18.53, I 1; 2θ 26.32, I 100; 2θ 32.38, I 2; 2θ 37.57, I 33; 2θ 46.45, I 42; 2θ 54.18, I 22; 2θ 61.21, I 20; 2θ 67.79, I 7; 2θ 74.08, I 22; 2θ 80.18, I 3; 2θ 86.16, I 11

=====

# Na2Sb
Theoretical X-ray diffraction stick pattern, Cu Ka. Input: a crystal structure in Alexandria, relaxed with GGA-PBE.
Kinematic intensities with the Lorentz-polarization factor, no thermal factor.

Structure:
```
data_Na2Sb
_chemical_formula_sum 'Na8 Sb4'
_cell_length_a 5.1932
_cell_length_b 10.4937
_cell_length_c 6.5151
_cell_angle_alpha 90.00
_cell_angle_beta 90.00
_cell_angle_gamma 90.00
_space_group_name_H-M_alt 'C m c m'
_space_group_IT_number 63
_space_group_name_Hall '-C 2c 2'
loop_
_atom_site_label
_atom_site_type_symbol
_atom_site_fract_x
_atom_site_fract_y
_atom_site_fract_z
Na1 Na 0.0000 0.0000 0.0000
Na2 Na 0.0000 0.2829 0.2500
Sb1 Sb 0.0000 0.4184 0.7500
```

Most intense lines, 10° ≤ 2θ ≤ 90°, low angle first:
2θ 16.90, I 30; 2θ 19.07, I 78; 2θ 21.75, I 68; 2θ 27.38, I 32; 2θ 33.58, I 94; 2θ 33.82, I 100; 2θ 34.54, I 34; 2θ 36.94, I 31; 2θ 41.19, I 25; 2θ 51.46, I 23; 2θ 52.65, I 28; 2θ 61.43, I 17